Entry 1:
NpFeGe2Rh: calculated XRD peak list (copper Kα), based on a DFT-relaxed cell (GGA-PBE, Alexandria).

Structure:
```
data_NpFeGe2Rh
_space_group_name_H-M_alt 'P 1'
_space_group_IT_number 1
_cell_length_a 4.073
_cell_length_b 4.073
_cell_length_c 10.250
_cell_angle_alpha 90.00
_cell_angle_beta 90.00
_cell_angle_gamma 90.00
loop_
_space_group_symop_operation_xyz
'x,y,z'
loop_
_atom_site_label
_atom_site_type_symbol
_atom_site_fract_x
_atom_site_fract_y
_atom_site_fract_z
Np1 Np 0.000 0.000 0.000
Np2 Np 0.500 0.500 0.500
Fe1 Fe 0.000 0.500 0.750
Fe2 Fe 0.500 0.000 0.250
Ge1 Ge 0.000 0.000 0.375
Ge2 Ge 0.000 0.000 0.625
Ge3 Ge 0.500 0.500 0.125
Ge4 Ge 0.500 0.500 0.875
Rh1 Rh 0.000 0.500 0.250
Rh2 Rh 0.500 0.000 0.750
```

The 12 most intense peaks (2θ = 15–90°), in order of rising 2θ:
two_theta, intensity
23.5, 31.2
31.0, 21.4
34.3, 82.3
35.0, 10.1
35.8, 100.0
44.5, 51.4
49.8, 29.5
57.3, 38.3
63.3, 18.6
64.7, 16.6
69.0, 22.4
76.2, 22.1


Entry 2:
CeZn2InPd5: calculated XRD peak list (copper Kα), based on a DFT-relaxed cell (GGA-PBE, Alexandria).

Structure:
```
data_CeZn2InPd5
_space_group_name_H-M_alt 'P 1'
_space_group_IT_number 1
_cell_length_a 4.121
_cell_length_b 4.121
_cell_length_c 9.563
_cell_angle_alpha 90.00
_cell_angle_beta 90.00
_cell_angle_gamma 90.00
loop_
_space_group_symop_operation_xyz
'x,y,z'
loop_
_atom_site_label
_atom_site_type_symbol
_atom_site_fract_x
_atom_site_fract_y
_atom_site_fract_z
Ce1 Ce 0.000 0.000 0.000
Zn1 Zn 0.500 0.500 0.373
Zn2 Zn 0.500 0.500 0.627
In1 In 0.000 0.000 0.500
Pd1 Pd 0.000 0.500 0.216
Pd2 Pd 0.000 0.500 0.784
Pd3 Pd 0.500 0.000 0.216
Pd4 Pd 0.500 0.000 0.784
Pd5 Pd 0.500 0.500 0.000
```

The 12 most intense peaks (2θ = 15–90°), in order of rising 2θ:
two_theta, intensity
28.6, 7.4
36.1, 100.0
37.6, 9.9
42.0, 28.2
43.8, 8.6
43.9, 44.3
47.5, 7.4
59.2, 10.4
63.9, 14.1
66.7, 10.4
75.6, 22.2
79.5, 9.0


Entry 3:
CaNd2ThS4: calculated XRD peak list (copper Kα), based on a DFT-relaxed cell (GGA-PBE, Alexandria).

Structure:
```
data_CaNd2ThS4
_space_group_name_H-M_alt 'P 1'
_space_group_IT_number 1
_cell_length_a 6.988
_cell_length_b 4.030
_cell_length_c 7.064
_cell_angle_alpha 90.00
_cell_angle_beta 109.19
_cell_angle_gamma 90.00
loop_
_space_group_symop_operation_xyz
'x,y,z'
loop_
_atom_site_label
_atom_site_type_symbol
_atom_site_fract_x
_atom_site_fract_y
_atom_site_fract_z
Ca1 Ca 0.000 0.000 0.000
Nd1 Nd 0.500 0.000 0.500
Nd2 Nd 0.500 0.500 0.000
Th1 Th 0.000 0.500 0.500
S1 S 0.242 0.500 0.245
S2 S 0.244 0.000 0.752
S3 S 0.756 0.000 0.248
S4 S 0.758 0.500 0.755
```

The 12 most intense peaks (2θ = 15–90°), in order of rising 2θ:
two_theta, intensity
15.5, 11.5
25.9, 11.0
26.7, 18.1
27.0, 52.8
31.2, 100.0
44.6, 36.7
45.0, 35.7
53.1, 17.8
55.8, 18.7
65.2, 11.6
73.7, 16.3
74.3, 15.9


Entry 4:
Ba2TbCl2O2: calculated XRD peak list (copper Kα), based on a DFT-relaxed cell (GGA-PBE, Alexandria).

Structure:
```
data_Ba2TbCl2O2
_space_group_name_H-M_alt 'P 1'
_space_group_IT_number 1
_cell_length_a 4.550
_cell_length_b 4.550
_cell_length_c 16.044
_cell_angle_alpha 90.00
_cell_angle_beta 90.00
_cell_angle_gamma 90.00
loop_
_space_group_symop_operation_xyz
'x,y,z'
loop_
_atom_site_label
_atom_site_type_symbol
_atom_site_fract_x
_atom_site_fract_y
_atom_site_fract_z
Ba1 Ba 0.000 0.000 0.116
Ba2 Ba 0.000 0.000 0.884
Ba3 Ba 0.500 0.500 0.384
Ba4 Ba 0.500 0.500 0.616
Tb1 Tb 0.000 0.000 0.500
Tb2 Tb 0.500 0.500 0.000
Cl1 Cl 0.000 0.000 0.321
Cl2 Cl 0.000 0.000 0.679
Cl3 Cl 0.500 0.500 0.179
Cl4 Cl 0.500 0.500 0.821
O1 O 0.000 0.500 0.000
O2 O 0.000 0.500 0.500
O3 O 0.500 0.000 0.000
O4 O 0.500 0.000 0.500
```

The 12 most intense peaks (2θ = 15–90°), in order of rising 2θ:
two_theta, intensity
25.7, 60.7
27.7, 93.6
34.2, 100.0
39.6, 46.3
47.8, 24.0
53.3, 54.8
53.9, 13.3
57.3, 15.1
61.7, 12.3
64.8, 16.8
68.4, 12.9
82.1, 15.9


Entry 5:
Na5Sr2Ca: calculated XRD peak list (copper Kα), based on a DFT-relaxed cell (GGA-PBE, Alexandria).

Structure:
```
data_Na5Sr2Ca
_space_group_name_H-M_alt 'P 1'
_space_group_IT_number 1
_cell_length_a 6.231
_cell_length_b 6.231
_cell_length_c 17.277
_cell_angle_alpha 90.00
_cell_angle_beta 90.00
_cell_angle_gamma 90.00
loop_
_space_group_symop_operation_xyz
'x,y,z'
loop_
_atom_site_label
_atom_site_type_symbol
_atom_site_fract_x
_atom_site_fract_y
_atom_site_fract_z
Na1 Na 0.000 0.000 0.000
Na2 Na 0.000 0.500 0.114
Na3 Na 0.000 0.500 0.386
Na4 Na 0.000 0.500 0.614
Na5 Na 0.000 0.500 0.886
Na6 Na 0.500 0.000 0.114
Na7 Na 0.500 0.000 0.386
Na8 Na 0.500 0.000 0.614
Na9 Na 0.500 0.000 0.886
Na10 Na 0.500 0.500 0.500
Sr1 Sr 0.000 0.000 0.250
Sr2 Sr 0.000 0.000 0.750
Sr3 Sr 0.500 0.500 0.250
Sr4 Sr 0.500 0.500 0.750
Ca1 Ca 0.000 0.000 0.500
Ca2 Ca 0.500 0.500 0.000
```

The 12 most intense peaks (2θ = 15–90°), in order of rising 2θ:
two_theta, intensity
20.2, 22.5
20.6, 11.3
22.7, 23.6
28.7, 52.5
28.9, 100.0
35.5, 11.1
41.0, 19.4
41.8, 8.4
50.9, 39.0
51.5, 17.7
60.0, 10.9
81.9, 8.9